[1]
Starting from a GGA-PBE-relaxed structure, the powder diffraction line list of NdPb7F17 was calculated for Cu Kα (λ = 1.5418 Å).
Neutral-atom scattering factors, no anomalous dispersion.

Crystal structure
```
NdPb7F17
1.0
4.1905 0.0000 0.0000
2.0906 3.6677 0.0000
0.0541 2.3285 27.9637
Nd Pb F
1 7 17
Direct
0.0000 0.0000 0.0000
0.1110 0.7580 0.3720
0.2657 0.4902 0.7466
0.3910 0.2271 0.1199
0.5098 0.9935 0.4969
0.6379 0.7418 0.8731
0.7031 0.5310 0.2462
0.8907 0.2402 0.6220
0.0116 0.9984 0.0870
0.0506 0.8388 0.2782
0.1652 0.6804 0.4656
0.2344 0.5532 0.6545
0.2963 0.4248 0.8438
0.3273 0.3581 0.0013
0.3663 0.2133 0.2132
0.4602 0.0685 0.4045
0.5481 0.9252 0.5911
0.6081 0.8046 0.7774
0.6549 0.7279 0.0465
0.6595 0.6941 0.9594
0.6929 0.6045 0.1553
0.7664 0.4458 0.3413
0.8549 0.3061 0.5288
0.9232 0.1757 0.7148
0.9793 0.0549 0.9121
```

Principal peaks in the range 10° ≤ 2θ ≤ 90°, low angle first:
Position (°2θ)	d [Å]	I_rel
25.48	3.496	528
25.70	3.467	513
25.94	3.435	1000
29.81	2.998	473
42.54	2.125	394
42.82	2.112	390


[2]
Starting from a GGA-PBE-relaxed structure, the powder diffraction line list of NdTeF was calculated for Cu Kα (λ = 1.5418 Å).
Neutral-atom scattering factors, no anomalous dispersion.

Crystal structure
```
NdTeF
1.0
4.2125 0.0000 0.0000
0.0000 4.2125 0.0000
0.0000 0.0000 7.6609
Nd Te F
2 2 2
Direct
0.2500 0.2500 0.1986
0.7500 0.7500 0.8014
0.2500 0.2500 0.6402
0.7500 0.7500 0.3598
0.2500 0.7500 0.0000
0.7500 0.2500 0.0000
```

Principal peaks in the range 10° ≤ 2θ ≤ 90°, low angle first:
Position (°2θ)	d [Å]	I_rel
30.00	2.979	808
31.57	2.834	1000
38.28	2.351	342
41.35	2.184	218
42.94	2.106	406
54.26	1.690	429


[3]
Starting from a GGA-PBE-relaxed structure, the powder diffraction line list of NdZrF7 was calculated for Cu Kα (λ = 1.5418 Å).
Neutral-atom scattering factors, no anomalous dispersion.

Crystal structure
```
NdZrF7
1.0
6.3190 0.0000 0.0000
0.0000 5.8690 0.0000
-1.7205 0.0000 8.3459
Nd Zr F
2 2 14
Direct
0.1571 0.0000 0.1868
0.8429 0.5000 0.8132
0.3116 0.9907 0.7240
0.6884 0.4907 0.2760
0.0502 0.2004 0.7137
0.0501 0.3133 0.0256
0.1250 0.7021 0.7170
0.2562 0.9941 0.4799
0.3580 0.9862 0.9685
0.4311 0.2769 0.2690
0.4684 0.7516 0.2608
0.5316 0.2516 0.7392
0.5689 0.7769 0.7310
0.6420 0.4862 0.0315
0.7438 0.4941 0.5201
0.8750 0.2021 0.2830
0.9498 0.7004 0.2863
0.9499 0.8133 0.9744
```

Principal peaks in the range 10° ≤ 2θ ≤ 90°, low angle first:
Position (°2θ)	d [Å]	I_rel
20.86	4.259	1000
21.29	4.173	369
24.76	3.596	216
27.77	3.212	277
42.32	2.135	151
45.81	1.981	150


[4]
Starting from a GGA-PBE-relaxed structure, the powder diffraction line list of NdZr3F15 was calculated for Cu Kα (λ = 1.5418 Å).
Neutral-atom scattering factors, no anomalous dispersion.

Crystal structure
```
NdZr3F15
1.0
6.2532 3.6103 2.0699
-6.2532 3.6103 2.0699
0.0000 -7.2206 2.0699
Nd Zr F
1 3 15
Direct
0.0000 0.0000 0.0000
0.3606 0.3606 0.7913
0.3606 0.7913 0.3606
0.7913 0.3606 0.3606
0.1020 0.1020 0.7624
0.1020 0.7624 0.1020
0.1040 0.4337 0.6474
0.1040 0.6474 0.4337
0.1845 0.1845 0.4200
0.1845 0.4200 0.1845
0.4200 0.1845 0.1845
0.4337 0.1040 0.6474
0.4337 0.6474 0.1040
0.6443 0.6443 0.8653
0.6443 0.8653 0.6443
0.6474 0.1040 0.4337
0.6474 0.4337 0.1040
0.7624 0.1019 0.1020
0.8653 0.6443 0.6443
```

Principal peaks in the range 10° ≤ 2θ ≤ 90°, low angle first:
Position (°2θ)	d [Å]	I_rel
21.78	4.081	1000
26.07	3.418	376
28.55	3.127	279
44.29	2.045	159
46.83	1.940	301
53.55	1.711	129


[5]
Starting from a GGA-PBE-relaxed structure, the powder diffraction line list of NdZr2F11 was calculated for Cu Kα (λ = 1.5418 Å).
Neutral-atom scattering factors, no anomalous dispersion.

Crystal structure
```
NdZr2F11
1.0
-3.9478 5.0801 5.5383
3.9478 -5.0801 5.5383
3.9478 5.0801 -5.5383
Nd Zr F
2 4 22
Direct
0.2500 0.2500 0.0000
0.7500 0.7500 0.0000
0.1812 0.6348 0.8160
0.3188 0.1348 0.4537
0.6812 0.8652 0.5463
0.8188 0.3652 0.1840
0.0000 0.5000 0.5000
0.0468 0.9645 0.2850
0.0542 0.3648 0.1584
0.1794 0.4645 0.9176
0.2064 0.8958 0.8416
0.2195 0.3704 0.5899
0.2805 0.8704 0.1509
0.2936 0.1352 0.6894
0.3206 0.2382 0.2850
0.4458 0.6042 0.3106
0.4532 0.7382 0.9176
0.5000 0.0000 0.5000
0.5468 0.2618 0.0824
0.5542 0.3958 0.6894
0.6794 0.7618 0.7150
0.7064 0.8648 0.3106
0.7195 0.1296 0.8491
0.7805 0.6296 0.4101
0.7936 0.1042 0.1584
0.8206 0.5355 0.0824
0.9458 0.6352 0.8416
0.9532 0.0355 0.7150
```

Principal peaks in the range 10° ≤ 2θ ≤ 90°, low angle first:
Position (°2θ)	d [Å]	I_rel
21.46	4.140	1000
22.30	3.986	249
23.77	3.744	586
25.51	3.492	370
43.74	2.069	452
46.68	1.946	264


[6]
Starting from a GGA-PBE-relaxed structure, the powder diffraction line list of NpF5 was calculated for Cu Kα (λ = 1.5418 Å).
Neutral-atom scattering factors, no anomalous dispersion.

Crystal structure
```
NpF5
1.0
6.8847 0.0000 0.0000
0.0000 6.8847 0.0000
0.0000 0.0000 4.4959
Np F
2 10
Direct
0.0000 0.0000 0.0000
0.5000 0.5000 0.5000
0.0000 0.0000 0.5000
0.1016 0.7253 0.0000
0.2253 0.3984 0.5000
0.2747 0.1016 0.0000
0.3984 0.7747 0.5000
0.5000 0.5000 0.0000
0.6016 0.2253 0.5000
0.7253 0.8984 0.0000
0.7747 0.6016 0.5000
0.8984 0.2747 0.0000
```

Principal peaks in the range 10° ≤ 2θ ≤ 90°, low angle first:
Position (°2θ)	d [Å]	I_rel
18.22	4.868	952
23.64	3.764	1000
25.88	3.442	358
35.33	2.540	441
44.36	2.042	365
59.04	1.565	390


[7]
Starting from a GGA-PBE-relaxed structure, the powder diffraction line list of NpF3 was calculated for Cu Kα (λ = 1.5418 Å).
Neutral-atom scattering factors, no anomalous dispersion.

Crystal structure
```
NpF3
1.0
4.1515 0.0000 0.0000
-2.0757 3.5953 0.0000
0.0000 0.0000 7.2823
Np F
2 6
Direct
0.3333 0.6667 0.2500
0.6667 0.3333 0.7500
0.0000 0.0000 0.2500
0.0000 0.0000 0.7500
0.3333 0.6667 0.5790
0.3333 0.6667 0.9210
0.6667 0.3333 0.0790
0.6667 0.3333 0.4210
```

Principal peaks in the range 10° ≤ 2θ ≤ 90°, low angle first:
Position (°2θ)	d [Å]	I_rel
24.45	3.641	354
24.76	3.595	262
27.67	3.224	1000
43.60	2.076	372
45.06	2.012	443
50.62	1.803	312


[8]
Starting from a GGA-PBE-relaxed structure, the powder diffraction line list of NpO2F2 was calculated for Cu Kα (λ = 1.5418 Å).
Neutral-atom scattering factors, no anomalous dispersion.

Crystal structure
```
NpO2F2
1.0
8.4837 0.0000 0.0000
0.0000 4.3893 0.0000
-0.4815 0.0000 3.7498
Np O F
2 4 4
Direct
0.0000 0.0000 0.0000
0.5000 0.5000 0.0000
0.0650 0.5000 0.8876
0.4350 0.0000 0.1124
0.5650 0.0000 0.8876
0.9350 0.5000 0.1124
0.1551 0.0000 0.5221
0.3449 0.5000 0.4779
0.6551 0.5000 0.5221
0.8449 0.0000 0.4779
```

Principal peaks in the range 10° ≤ 2θ ≤ 90°, low angle first:
Position (°2θ)	d [Å]	I_rel
21.12	4.207	714
22.85	3.892	1000
23.73	3.750	439
29.83	2.995	313
32.16	2.783	313
42.99	2.104	393


[9]
Starting from a GGA-PBE-relaxed structure, the powder diffraction line list of NpO2F2 was calculated for Cu Kα (λ = 1.5418 Å).
Neutral-atom scattering factors, no anomalous dispersion.

Crystal structure
```
NpO2F2
1.0
7.4197 0.0000 0.0000
0.0000 4.4405 0.0000
-0.5095 0.0000 3.7790
Np O F
2 4 4
Direct
0.0000 0.0000 0.0000
0.5000 0.5000 0.0000
0.0696 0.5000 0.8797
0.4304 0.0000 0.1203
0.5696 0.0000 0.8797
0.9304 0.5000 0.1203
0.1673 0.0000 0.5279
0.3327 0.5000 0.4721
0.6673 0.5000 0.5279
0.8327 0.0000 0.4721
```

Principal peaks in the range 10° ≤ 2θ ≤ 90°, low angle first:
Position (°2θ)	d [Å]	I_rel
23.40	3.801	1000
23.54	3.779	479
24.21	3.677	523
31.60	2.831	294
32.23	2.778	349
36.30	2.475	290


[10]
Starting from a GGA-PBE-relaxed structure, the powder diffraction line list of NpO2F2 was calculated for Cu Kα (λ = 1.5418 Å).
Neutral-atom scattering factors, no anomalous dispersion.

Crystal structure
```
NpO2F2
1.0
4.2251 0.0000 0.0000
-2.1126 3.6591 0.0000
0.0000 0.0000 16.6572
Np O F
3 6 6
Direct
0.0000 0.0000 0.0000
0.3333 0.6667 0.6667
0.6667 0.3333 0.3333
0.0000 0.0000 0.1064
0.0000 0.0000 0.8936
0.3333 0.6667 0.5603
0.3333 0.6667 0.7731
0.6667 0.3333 0.2269
0.6667 0.3333 0.4397
0.0000 0.0000 0.3336
0.0000 0.0000 0.6664
0.3333 0.6667 0.0003
0.3333 0.6667 0.3330
0.6667 0.3333 0.9997
0.6667 0.3333 0.6670
```

Principal peaks in the range 10° ≤ 2θ ≤ 90°, low angle first:
Position (°2θ)	d [Å]	I_rel
15.96	5.552	1000
24.91	3.574	911
26.61	3.350	651
32.58	2.749	265
42.81	2.113	353
45.96	1.974	420


[11]
Starting from a GGA-PBE-relaxed structure, the powder diffraction line list of NpTl2F6 was calculated for Cu Kα (λ = 1.5418 Å).
Neutral-atom scattering factors, no anomalous dispersion.

Crystal structure
```
NpTl2F6
1.0
3.5370 -6.1803 0.0000
3.5370 6.1803 0.0000
0.0000 0.0000 7.5281
Np Tl F
2 4 12
Direct
0.0546 0.9454 0.7500
0.9454 0.0546 0.2500
0.3449 0.6551 0.5021
0.3449 0.6551 0.9979
0.6551 0.3449 0.0021
0.6551 0.3449 0.4979
0.0102 0.6068 0.7500
0.1005 0.8995 0.0425
0.1005 0.8995 0.4575
0.2819 0.2990 0.7500
0.2990 0.2819 0.2500
0.3932 0.9898 0.7500
0.6068 0.0102 0.2500
0.7010 0.7181 0.7500
0.7181 0.7010 0.2500
0.8995 0.1005 0.5425
0.8995 0.1005 0.9575
0.9898 0.3932 0.2500
```

Principal peaks in the range 10° ≤ 2θ ≤ 90°, low angle first:
Position (°2θ)	d [Å]	I_rel
18.61	4.769	203
25.01	3.560	579
25.18	3.537	465
27.78	3.211	1000
46.00	1.973	239
55.24	1.663	281


[12]
Starting from a GGA-PBE-relaxed structure, the powder diffraction line list of OF2 was calculated for Cu Kα (λ = 1.5418 Å).
Neutral-atom scattering factors, no anomalous dispersion.

Crystal structure
```
OF2
1.0
9.0314 0.0000 0.0000
0.0000 3.0192 0.0000
0.0000 0.0000 5.9706
O F
4 8
Direct
0.1177 0.2500 0.0897
0.3823 0.7500 0.5897
0.6177 0.2500 0.4103
0.8823 0.7500 0.9103
0.0542 0.2500 0.3092
0.2265 0.7500 0.6301
0.2735 0.2500 0.1301
0.4458 0.7500 0.8092
0.5542 0.2500 0.1908
0.7265 0.7500 0.8699
0.7735 0.2500 0.3699
0.9458 0.7500 0.6908
```

Principal peaks in the range 10° ≤ 2θ ≤ 90°, low angle first:
Position (°2θ)	d [Å]	I_rel
24.72	3.602	354
31.56	2.834	418
33.25	2.694	1000
34.75	2.582	409
35.78	2.510	241
42.82	2.112	186


[13]
Starting from a GGA-PBE-relaxed structure, the powder diffraction line list of OsO2F2 was calculated for Cu Kα (λ = 1.5418 Å).
Neutral-atom scattering factors, no anomalous dispersion.

Crystal structure
```
OsO2F2
1.0
5.7677 0.0000 0.0000
2.0563 5.4187 0.0000
2.2460 -0.2602 6.4092
Os O F
2 4 4
Direct
0.1356 0.0267 0.3388
0.8644 0.9733 0.6612
0.3542 0.2003 0.3273
0.4500 0.2230 0.1233
0.5500 0.7770 0.8767
0.6458 0.7997 0.6727
0.1111 0.7016 0.7371
0.3867 0.7083 0.2945
0.6133 0.2917 0.7055
0.8889 0.2984 0.2629
```

Principal peaks in the range 10° ≤ 2θ ≤ 90°, low angle first:
Position (°2θ)	d [Å]	I_rel
13.82	6.409	460
16.37	5.414	1000
18.39	4.825	992
20.67	4.296	748
21.92	4.056	356
27.87	3.201	295